Diffraction record for Ta2S4Cl. The X-ray powder pattern is computed, not measured: it uses DFT lattice parameters and positions (PBE) and CuKα.
Kinematic intensities with the Lorentz-polarization factor, no thermal factor.

Peak list (12 most intense, 15° ≤ 2θ ≤ 90°, most intense first)
2θ/deg, I/Imax
30.68, 100
25.41, 93
47.00, 90
15.72, 88
41.60, 80
23.84, 43
38.98, 43
29.80, 42
32.12, 41
34.34, 35
40.40, 31
48.46, 29

Crystal structure
```
Ta2S4Cl
1.0
-3.404 6.330 3.147
3.404 -6.330 3.147
3.404 6.330 -3.147
Ta S Cl
4 8 2
Direct
0.000 0.000 0.000 Ta
0.000 0.500 0.500 Ta
0.222 0.167 0.555 Ta
0.612 0.667 0.445 Ta
0.293 0.047 0.747 S
0.300 0.547 0.253 S
0.336 0.139 0.199 S
0.336 0.637 0.697 S
0.665 0.530 0.635 S
0.894 0.030 0.365 S
0.941 0.137 0.801 S
0.941 0.639 0.303 S
0.680 0.036 0.145 Cl
0.891 0.536 0.855 Cl
```


Diffraction record for TaS3Cl6. The X-ray powder pattern is computed, not measured: it uses DFT lattice parameters and positions (PBE) and CuKα.
Kinematic intensities with the Lorentz-polarization factor, no thermal factor.

Peak list (12 most intense, 15° ≤ 2θ ≤ 90°, most intense first)
2θ/deg, I/Imax
19.91, 100
15.36, 79
23.63, 53
30.09, 45
38.29, 38
42.54, 27
29.77, 22
25.35, 22
54.39, 21
38.43, 18
40.46, 17
33.59, 16

Crystal structure
```
TaS3Cl6
1.0
7.027 4.057 4.367
-7.027 4.057 4.367
0.000 -8.115 4.367
Ta S Cl
2 6 12
Direct
0.000 0.000 0.000 Ta
0.500 0.500 0.500 Ta
0.074 0.074 0.484 S
0.074 0.484 0.074 S
0.484 0.074 0.074 S
0.516 0.926 0.926 S
0.926 0.516 0.926 S
0.926 0.926 0.516 S
0.056 0.817 0.817 Cl
0.183 0.183 0.944 Cl
0.183 0.944 0.183 Cl
0.236 0.475 0.475 Cl
0.475 0.236 0.475 Cl
0.475 0.475 0.236 Cl
0.525 0.525 0.764 Cl
0.525 0.764 0.525 Cl
0.764 0.525 0.525 Cl
0.817 0.056 0.817 Cl
0.817 0.817 0.056 Cl
0.944 0.183 0.183 Cl
```


Diffraction record for TaS2Cl5. The X-ray powder pattern is computed, not measured: it uses DFT lattice parameters and positions (PBE) and CuKα.
Kinematic intensities with the Lorentz-polarization factor, no thermal factor.

Peak list (12 most intense, 15° ≤ 2θ ≤ 90°, most intense first)
2θ/deg, I/Imax
16.08, 100
16.51, 47
15.11, 30
15.27, 28
24.59, 25
23.88, 23
19.62, 20
35.26, 16
23.62, 16
26.87, 14
39.90, 13
25.63, 13

Crystal structure
```
TaS2Cl5
1.0
6.949 0.000 0.000
3.400 6.735 0.000
3.426 1.253 7.241
Ta S Cl
1 2 5
Direct
0.000 0.000 0.000 Ta
0.328 0.545 0.520 S
0.635 0.448 0.515 S
0.006 0.290 0.025 Cl
0.158 0.071 0.680 Cl
0.305 0.706 0.008 Cl
0.688 0.005 0.966 Cl
0.841 0.930 0.320 Cl
```


Diffraction record for TaTiSCl2. The X-ray powder pattern is computed, not measured: it uses DFT lattice parameters and positions (PBE) and CuKα.
Kinematic intensities with the Lorentz-polarization factor, no thermal factor.

Peak list (12 most intense, 15° ≤ 2θ ≤ 90°, most intense first)
2θ/deg, I/Imax
26.19, 100
18.35, 86
37.20, 59
26.07, 48
18.52, 45
46.06, 44
41.82, 43
53.89, 38
37.55, 28
46.28, 21
42.10, 21
53.63, 19

Crystal structure
```
TaTiSCl2
1.0
4.834 0.000 0.000
0.000 4.834 0.000
0.000 0.000 4.791
Ta Ti S Cl
1 1 1 2
Direct
0.000 0.000 0.000 Ta
0.500 0.500 0.500 Ti
0.000 0.000 0.500 S
0.000 0.500 0.000 Cl
0.500 0.000 0.000 Cl
```